The following is a theoretical powder X-ray diffraction pattern of CdCo2Mo. It was derived from a PBE-relaxed structure, using copper Kα.
Neutral-atom scattering factors, no anomalous dispersion.

Principal peaks in the range 15° ≤ 2θ ≤ 90°, in order of rising 2θ:
| 2θ (°) | I/Imax |
| --- | --- |
| 32.0 | 184 |
| 39.8 | 516 |
| 40.3 | 488 |
| 41.9 | 1000 |
| 46.0 | 757 |
| 50.9 | 185 |

Structural model:
```
CdCo2Mo
1.0
4.7097 -1.3504 0.0000
4.7097 1.3504 0.0000
-1.2679 0.0000 4.4075
Cd Co Mo
1 2 1
Direct
0.0000 0.0000 0.0000
0.2405 0.2405 0.8150
0.5346 0.5346 0.5169
0.7841 0.7841 0.3562
```

***

The following is a theoretical powder X-ray diffraction pattern of CeNd4Zr3O14. It was derived from a PBE-relaxed structure, using copper Kα.
Neutral-atom scattering factors, no anomalous dispersion.

Principal peaks in the range 15° ≤ 2θ ≤ 90°, in order of rising 2θ:
| 2θ (°) | I/Imax |
| --- | --- |
| 28.4 | 1000 |
| 28.6 | 342 |
| 32.9 | 426 |
| 47.1 | 341 |
| 47.4 | 323 |
| 56.0 | 297 |

Structural model:
```
CeNd4Zr3O14
1.0
3.8599 2.2285 6.2388
-3.8599 2.2285 6.2388
0.0000 -4.4570 6.2388
Ce Nd Zr O
1 4 3 14
Direct
0.0000 0.0000 0.0000
0.0000 0.5000 0.5000
0.5000 0.0000 0.5000
0.5000 0.5000 0.0000
0.5000 0.5000 0.5000
0.0000 0.0000 0.5000
0.0000 0.5000 0.0000
0.5000 0.0000 0.0000
0.0873 0.6705 0.6705
0.0967 0.0967 0.6467
0.0967 0.6467 0.0967
0.3295 0.3295 0.9127
0.3295 0.9127 0.3295
0.3533 0.9033 0.9033
0.3761 0.3761 0.3761
0.6239 0.6239 0.6239
0.6467 0.0967 0.0967
0.6705 0.0873 0.6705
0.6705 0.6705 0.0873
0.9033 0.3533 0.9033
0.9033 0.9033 0.3533
0.9127 0.3295 0.3295
```

***

The following is a theoretical powder X-ray diffraction pattern of Ac2HoThAs4. It was derived from a PBE-relaxed structure, using copper Kα.
Neutral-atom scattering factors, no anomalous dispersion.

Principal peaks in the range 15° ≤ 2θ ≤ 90°, in order of rising 2θ:
| 2θ (°) | I/Imax |
| --- | --- |
| 25.1 | 293 |
| 29.0 | 1000 |
| 41.3 | 378 |
| 41.5 | 129 |
| 41.6 | 255 |
| 51.4 | 138 |

Structural model:
```
Ac2HoThAs4
1.0
7.5099 0.0000 0.0000
0.0000 4.3535 0.0000
-2.5137 0.0000 7.1675
Ac Ho Th As
2 1 1 4
Direct
0.0000 0.0000 0.0000
0.5000 0.5000 0.0000
0.0000 0.5000 0.5000
0.5000 0.0000 0.5000
0.2400 0.0000 0.7271
0.2540 0.5000 0.2712
0.7460 0.5000 0.7288
0.7600 0.0000 0.2729
```